For TbPm3Sm4Se8, DFT lattice parameters and positions (PBE) gives the computed PXRD pattern in this record (λ = 1.5418 Å (Cu Kα)).
Neutral-atom scattering factors, no anomalous dispersion.

Structure:
Cell: 8.3486 8.3486 20.4449 Å, 90.00 90.00 120.00°
Space group R-3m (No. 166, hexagonal axes)
Asymmetric unit:
Tb 0.0000 0.0000 0.0000
Pm 0.0000 0.5000 0.0000
Sm 0.0000 0.0000 0.5000
Sm 0.0000 0.5000 0.5000
Se 0.0000 0.0000 0.2492
Se 0.0045 0.5023 0.7496

Main lines, by intensity (10° ≤ 2θ ≤ 90°):
30.28 deg, I 1000, (0 2 4)
43.36 deg, I 745, (2 2 0)
71.47 deg, I 335, (2 4 4)
53.80 deg, I 263, (4 0 4)
79.56 deg, I 251, (4 2 8)
26.15 deg, I 176, (2 0 2)
62.99 deg, I 122, (0 4 8)
51.34 deg, I 88, (2 2 6)


For Pr2CdAgHg4, DFT lattice parameters and positions (PBE) gives the computed PXRD pattern in this record (λ = 1.5418 Å (Cu Kα)).
Neutral-atom scattering factors, no anomalous dispersion.

Structure:
Cell: 5.1766 5.1766 25.3607 Å, 90.00 90.00 120.00°
Space group R-3m (No. 166, hexagonal axes)
Asymmetric unit:
Pr 0.0000 0.0000 0.2503
Cd 0.0000 0.0000 0.0000
Ag 0.0000 0.0000 0.5000
Hg 0.0000 0.0000 0.1268
Hg 0.0000 0.0000 0.3767

Main lines, by intensity (10° ≤ 2θ ≤ 90°):
34.66 deg, I 1000, (1 1 0)
62.11 deg, I 369, (3 0 0)
49.82 deg, I 179, (2 0 8)
83.52 deg, I 164, (3 1 8)
73.12 deg, I 114, (2 2 0)
24.32 deg, I 56, (1 0 4)
56.19 deg, I 27, (2 1 4)
42.79 deg, I 19, (0 2 4)


For ErInCo, DFT lattice parameters and positions (PBE) gives the computed PXRD pattern in this record (λ = 1.5418 Å (Cu Kα)).
Neutral-atom scattering factors, no anomalous dispersion.

Structure:
Cell: 12.360 3.897 7.437 Å, 90.00 90.00 90.00°
Space group Pmma (No. 51)
Asymmetric unit:
Er 0.045 0.000 0.228
Er 0.250 0.000 0.855
In 0.122 0.500 0.575
In 0.250 0.500 0.193
Co 0.086 0.500 0.948
Co 0.250 0.000 0.444

Main lines, by intensity (10° ≤ 2θ ≤ 90°):
33.88 deg, I 1000, (3 1 1)
36.43 deg, I 416, (2 1 2)
37.13 deg, I 350, (4 1 0)
34.11 deg, I 343, (1 1 2)
33.31 deg, I 325, (0 1 2)
46.62 deg, I 317, (0 2 0)
37.86 deg, I 181, (4 0 2)
43.95 deg, I 167, (6 0 0)


For Co3Ru, DFT lattice parameters and positions (PBE) gives the computed PXRD pattern in this record (λ = 1.5418 Å (Cu Kα)).
Neutral-atom scattering factors, no anomalous dispersion.

Structure:
Cell: 2.582 2.582 7.000 Å, 90.00 90.00 90.00°
Space group P4/mmm (No. 123)
Asymmetric unit:
Co 0.000 0.000 0.000
Co 0.500 0.500 0.238
Ru 0.000 0.000 0.500

Main lines, by intensity (10° ≤ 2θ ≤ 90°):
43.55 deg, I 1000, (1 0 2)
49.95 deg, I 331, (1 1 0)
89.33 deg, I 231, (2 1 2)
75.20 deg, I 174, (1 1 4)
52.27 deg, I 138, (0 0 4)
73.32 deg, I 98, (2 0 0)
12.65 deg, I 63, (0 0 1)
37.11 deg, I 49, (1 0 1)


For LaTm2Ga8, DFT lattice parameters and positions (PBE) gives the computed PXRD pattern in this record (λ = 1.5418 Å (Cu Kα)).
Neutral-atom scattering factors, no anomalous dispersion.

Structure:
Cell: 7.922 14.414 5.325 Å, 90.00 132.16 90.00°
Space group C2/m (No. 12)
Asymmetric unit:
La 0.000 0.000 0.000
Tm 0.000 0.312 0.500
Ga 0.000 0.218 0.000
Ga 0.000 0.500 0.261
Ga 0.235 0.121 0.736

Main lines, by intensity (10° ≤ 2θ ≤ 90°):
35.43 deg, I 1000, (1 5 -1)
33.67 deg, I 405, (2 0 -2)
39.59 deg, I 281, (2 4 0)
41.72 deg, I 255, (1 3 -2)
39.76 deg, I 229, (3 3 -1)
25.75 deg, I 199, (2 2 -1)
61.35 deg, I 176, (3 5 -3)
70.81 deg, I 146, (4 0 -4)


For CaSn3F9, DFT lattice parameters and positions (PBE) gives the computed PXRD pattern in this record (λ = 1.5418 Å (Cu Kα)).
Neutral-atom scattering factors, no anomalous dispersion.

Structure:
Cell: 12.970 7.372 10.761 Å, 90.00 111.91 90.00°
Space group Cc (No. 9)
Asymmetric unit:
Ca 0.000 0.238 0.000
Sn 0.196 0.095 0.362
Sn 0.269 0.431 0.687
Sn 0.465 0.247 0.107
F 0.122 0.432 0.155
F 0.123 0.039 0.980
F 0.181 0.326 0.491
F 0.200 0.222 0.768
F 0.299 0.325 0.097
F 0.349 0.440 0.374
F 0.366 0.061 0.514
F 0.481 0.159 0.297
F 0.485 0.454 0.668

Main lines, by intensity (10° ≤ 2θ ≤ 90°):
20.45 deg, I 1000, (1 1 -2)
25.74 deg, I 863, (3 1 -2)
23.87 deg, I 709, (3 1 -1)
28.39 deg, I 626, (2 2 0)
27.78 deg, I 601, (1 1 -3)
18.08 deg, I 495, (1 1 1)
27.14 deg, I 448, (2 0 2)
24.84 deg, I 404, (1 1 2)


For Rb4NaNp3Te8, DFT lattice parameters and positions (PBE) gives the computed PXRD pattern in this record (λ = 1.5418 Å (Cu Kα)).
Neutral-atom scattering factors, no anomalous dispersion.

Structure:
Cell: 9.2549 9.2549 25.2910 Å, 90.00 90.00 120.00°
Space group R-3m (No. 166, hexagonal axes)
Asymmetric unit:
Rb 0.0000 0.0000 0.0000
Rb 0.0000 0.5000 0.0000
Na 0.0000 0.0000 0.5000
Np 0.0000 0.5000 0.5000
Te 0.0000 0.0000 0.2328
Te 0.0162 0.5081 0.7680

Main lines, by intensity (10° ≤ 2θ ≤ 90°):
26.33 deg, I 1000, (0 2 4)
38.93 deg, I 385, (2 2 0)
10.49 deg, I 329, (0 0 3)
36.19 deg, I 322, (2 0 8)
47.61 deg, I 196, (4 0 4)
63.12 deg, I 165, (2 4 4)
33.39 deg, I 160, (0 2 7)
11.58 deg, I 108, (1 0 1)